For OsSF, a cell relaxed with PBE gives the theoretical X-ray diffraction stick pattern in this record (a wavelength of 1.5418 Å).
No peak broadening, texture or thermal motion is included.

Principal peaks in the range 2θ from 10° to 90°, in order of rising 2θ:
d_spacing	intensity	hkl
6.232	100	0 2 0
2.646	31	1 1 1
2.618	10	1 3 0
2.269	49	0 0 2
2.134	13	0 2 2
2.004	9	1 5 0
1.889	8	0 6 1
1.834	15	1 5 1

Atomic structure:
```
data_OsSF
_chemical_formula_sum 'Os4 S4 F4'
_cell_length_a 3.3709
_cell_length_b 12.4645
_cell_length_c 4.5435
_cell_angle_alpha 90.00
_cell_angle_beta 90.00
_cell_angle_gamma 90.00
_symmetry_space_group_name_H-M 'C m c m'
_symmetry_Int_Tables_number 63
_symmetry_space_group_name_Hall '-C 2c 2'
loop_
_atom_site_label
_atom_site_fract_x
_atom_site_fract_y
_atom_site_fract_z
Os1 0.0000 0.2227 0.2500
S1 0.0000 0.1530 0.7500
F1 0.0000 0.3973 0.7500
```

***

For K3NpI8, a cell relaxed with PBE gives the theoretical X-ray diffraction stick pattern in this record (a wavelength of 1.5418 Å).
No peak broadening, texture or thermal motion is included.

Principal peaks in the range 2θ from 10° to 90°, in order of rising 2θ:
d_spacing	intensity	hkl
8.164	37	1 0 0
5.773	14	1 1 0
4.713	18	1 1 1
4.082	28	2 0 0
2.886	100	2 2 0
2.264	21	3 2 0
2.041	16	4 0 0
1.666	30	4 2 2

Atomic structure:
```
data_K3NpI8
_chemical_formula_sum 'K3 Np1 I8'
_cell_length_a 8.1639
_cell_length_b 8.1639
_cell_length_c 8.1639
_cell_angle_alpha 90.00
_cell_angle_beta 90.00
_cell_angle_gamma 90.00
_symmetry_space_group_name_H-M 'P m -3 m'
_symmetry_Int_Tables_number 221
_symmetry_space_group_name_Hall '-P 4 2 3'
loop_
_atom_site_label
_atom_site_fract_x
_atom_site_fract_y
_atom_site_fract_z
K1 0.0000 0.0000 0.5000
Np1 0.5000 0.5000 0.5000
I1 0.2722 0.2722 0.2722
```